This entry pairs a crystal structure of SrAcGaSn with its computed powder X-ray diffraction pattern. Radiation: a wavelength of 1.5418 Å. Structure: a crystal structure in Alexandria, relaxed with GGA-PBE.

Top 12 peaks for 10 to 80 degrees two-theta, low angle first:
4.467 Å, 2θ = 19.9°, rel. 17; 3.195 Å, 2θ = 27.9°, rel. 100; 3.118 Å, 2θ = 28.6°, rel. 47; 3.015 Å, 2θ = 29.6°, rel. 25; 2.557 Å, 2θ = 35.1°, rel. 74; 2.499 Å, 2θ = 35.9°, rel. 24; 2.470 Å, 2θ = 36.4°, rel. 30; 2.233 Å, 2θ = 40.4°, rel. 23; 1.816 Å, 2θ = 50.2°, rel. 20; 1.757 Å, 2θ = 52.1°, rel. 17; 1.657 Å, 2θ = 55.5°, rel. 18; 1.627 Å, 2θ = 56.6°, rel. 17

Crystal structure
Lattice parameters (Å, degrees): 4.467 6.517 6.517 44.55 90.00 90.00
Sites, in units of the cell vectors:
Sr  0.000  0.000  0.000
Ac  0.500  0.276  0.276
Ga  0.000  0.716  0.716
Sn  0.500  0.569  0.569